No. 1
The following is a theoretical X-ray diffraction stick pattern of Li2TlV2O7. It was derived from DFT lattice parameters and positions (PBE+U), using Cu Kα, 1.54184 Å.
Peak positions follow from Bragg's law for the DFT cell and can differ from measured ones.

Principal peaks in the range 2θ from 15° to 90°, by intensity:
20.11°, I 100
32.53°, I 73
26.56°, I 51
24.00°, I 30
58.10°, I 25
47.88°, I 19
38.58°, I 19
34.56°, I 18
51.37°, I 15
57.52°, I 14

Structure:
abc: 8.502 8.502 8.502
angles: 37.72 37.72 37.72
Fractional positions:
Li1 0.235 0.235 0.235
Li2 0.765 0.765 0.765
Tl1 0.500 0.500 0.500
V1 0.076 0.076 0.076
V2 0.924 0.924 0.924
O1 0.000 0.000 0.000
O2 0.090 0.402 0.812
O3 0.188 0.598 0.910
O4 0.402 0.812 0.090
O5 0.598 0.910 0.188
O6 0.812 0.090 0.402
O7 0.910 0.188 0.598

=====

No. 2
The following is a theoretical X-ray diffraction stick pattern of Li2Tl3WO6. It was derived from DFT lattice parameters and positions (PBE+U), using Cu Kα, 1.54184 Å.
Peak positions follow from Bragg's law for the DFT cell and can differ from measured ones.

Principal peaks in the range 2θ from 15° to 90°, by intensity:
34.74°, I 100
32.53°, I 83
29.71°, I 60
31.55°, I 47
40.22°, I 35
30.09°, I 33
55.31°, I 32
53.01°, I 27
17.79°, I 26
40.97°, I 25

Structure:
abc: 5.966 5.966 6.087
angles: 94.24 94.24 122.48
Fractional positions:
Li1 0.210 0.790 0.000
Li2 0.790 0.210 0.000
Tl1 0.000 0.000 0.500
Tl2 0.322 0.678 0.500
Tl3 0.678 0.322 0.500
W1 0.500 0.500 0.000
O1 0.153 0.423 0.864
O2 0.341 0.341 0.268
O3 0.423 0.153 0.864
O4 0.577 0.847 0.136
O5 0.659 0.659 0.732
O6 0.847 0.577 0.136

=====

No. 3
The following is a theoretical X-ray diffraction stick pattern of Li2TmVO4. It was derived from DFT lattice parameters and positions (PBE+U), using Cu Kα, 1.54184 Å.
Peak positions follow from Bragg's law for the DFT cell and can differ from measured ones.

Principal peaks in the range 2θ from 15° to 90°, by intensity:
22.90°, I 100
35.19°, I 30
34.82°, I 28
42.71°, I 27
49.00°, I 26
57.70°, I 19
36.92°, I 19
18.22°, I 18
56.24°, I 15
51.66°, I 13

Structure:
abc: 5.716 5.716 5.716
angles: 136.52 136.52 63.18
Fractional positions:
Li1 0.000 0.000 0.000
Li2 0.750 0.250 0.500
Tm1 0.250 0.750 0.500
V1 0.500 0.500 0.000
O1 0.012 0.512 0.500
O2 0.285 0.285 0.000
O3 0.488 0.988 0.500
O4 0.715 0.715 0.000

=====

No. 4
The following is a theoretical X-ray diffraction stick pattern of LiUV2O6. It was derived from DFT lattice parameters and positions (PBE+U), using Cu Kα, 1.54184 Å.
Peak positions follow from Bragg's law for the DFT cell and can differ from measured ones.

Principal peaks in the range 2θ from 15° to 90°, by intensity:
20.05°, I 100
33.40°, I 72
18.70°, I 64
20.20°, I 49
22.97°, I 37
31.47°, I 26
31.57°, I 26
31.97°, I 25
38.84°, I 22
38.60°, I 22

Structure:
abc: 5.361 5.361 5.618
angles: 89.98 62.30 60.19
Fractional positions:
Li1 0.000 0.000 0.000
U1 0.982 0.515 0.525
V1 0.565 0.721 0.146
V2 0.575 0.209 0.628
O1 0.072 0.587 0.844
O2 0.084 0.833 0.351
O3 0.475 0.092 0.355
O4 0.494 0.930 0.842
O5 0.724 0.442 0.358
O6 0.740 0.339 0.830

=====

No. 5
The following is a theoretical X-ray diffraction stick pattern of Li2UWO8. It was derived from DFT lattice parameters and positions (PBE+U), using Cu Kα, 1.54184 Å.
Peak positions follow from Bragg's law for the DFT cell and can differ from measured ones.

Principal peaks in the range 2θ from 15° to 90°, by intensity:
18.54°, I 100
26.33°, I 48
32.88°, I 43
50.78°, I 35
38.02°, I 34
42.20°, I 24
26.91°, I 20
46.83°, I 17
68.09°, I 13
72.09°, I 10

Structure:
abc: 4.787 4.787 6.626
angles: 90.00 90.00 90.13
Fractional positions:
Li1 0.000 0.000 0.217
Li2 0.000 0.000 0.783
U1 0.500 0.500 0.500
W1 0.500 0.500 0.000
O1 0.218 0.782 0.000
O2 0.226 0.774 0.500
O3 0.308 0.308 0.222
O4 0.308 0.308 0.778
O5 0.692 0.692 0.222
O6 0.692 0.692 0.778
O7 0.774 0.226 0.500
O8 0.782 0.218 0.000

=====

No. 6
The following is a theoretical X-ray diffraction stick pattern of Li5V12O32. It was derived from DFT lattice parameters and positions (PBE+U), using Cu Kα, 1.54184 Å.
Peak positions follow from Bragg's law for the DFT cell and can differ from measured ones.

Principal peaks in the range 2θ from 15° to 90°, by intensity:
27.93°, I 100
30.34°, I 40
40.12°, I 31
50.04°, I 28
41.42°, I 27
23.04°, I 25
26.87°, I 24
59.65°, I 16
58.91°, I 14
55.58°, I 13

Structure:
abc: 7.773 7.773 12.187
angles: 105.94 105.94 55.93
Fractional positions:
Li1 0.000 0.000 0.000
Li2 0.031 0.031 0.364
Li3 0.268 0.737 0.631
Li4 0.497 0.497 0.000
Li5 0.737 0.268 0.631
V1 0.077 0.577 0.778
V2 0.172 0.172 0.852
V3 0.284 0.284 0.122
V4 0.349 0.349 0.396
V5 0.394 0.894 0.232
V6 0.466 0.966 0.511
V7 0.577 0.077 0.778
V8 0.672 0.672 0.851
V9 0.781 0.781 0.118
V10 0.844 0.844 0.394
V11 0.894 0.394 0.232
V12 0.966 0.466 0.511
O1 0.000 0.504 0.139
O2 0.057 0.556 0.386
O3 0.060 0.060 0.753
O4 0.097 0.601 0.643
O5 0.151 0.151 0.988
O6 0.187 0.187 0.237
O7 0.190 0.690 0.878
O8 0.246 0.246 0.489
O9 0.284 0.284 0.776
O10 0.285 0.791 0.122
O11 0.340 0.872 0.357
O12 0.357 0.357 0.038
O13 0.385 0.385 0.267
O14 0.387 0.890 0.591
O15 0.456 0.456 0.504
O16 0.466 0.965 0.854
O17 0.504 0.000 0.139
O18 0.556 0.057 0.386
O19 0.559 0.559 0.751
O20 0.601 0.097 0.643
O21 0.650 0.650 0.987
O22 0.685 0.685 0.242
O23 0.690 0.190 0.878
O24 0.742 0.742 0.484
O25 0.783 0.783 0.776
O26 0.791 0.285 0.122
O27 0.857 0.857 0.038
O28 0.872 0.340 0.357
O29 0.885 0.885 0.267
O30 0.890 0.387 0.591
O31 0.958 0.958 0.494
O32 0.965 0.466 0.854

=====

No. 7
The following is a theoretical X-ray diffraction stick pattern of Li4V11O22. It was derived from DFT lattice parameters and positions (PBE+U), using Cu Kα, 1.54184 Å.
Peak positions follow from Bragg's law for the DFT cell and can differ from measured ones.

Principal peaks in the range 2θ from 15° to 90°, by intensity:
17.16°, I 100
40.25°, I 17
41.50°, I 15
44.67°, I 14
36.13°, I 13
35.40°, I 9
62.50°, I 7
34.58°, I 7
62.00°, I 7
52.11°, I 6

Structure:
abc: 5.107 8.657 10.769
angles: 111.14 96.94 93.83
Fractional positions:
Li1 0.000 0.000 0.000
Li2 0.088 0.622 0.290
Li3 0.386 0.062 0.508
Li4 0.536 0.456 0.703
V1 0.020 0.437 0.468
V2 0.113 0.803 0.637
V3 0.203 0.176 0.809
V4 0.287 0.543 0.987
V5 0.387 0.891 0.177
V6 0.465 0.263 0.340
V7 0.568 0.635 0.523
V8 0.662 0.995 0.725
V9 0.748 0.352 0.914
V10 0.837 0.716 0.078
V11 0.931 0.068 0.281
O1 0.047 0.388 0.826
O2 0.075 0.850 0.260
O3 0.157 0.775 0.009
O4 0.191 0.232 0.449
O5 0.230 0.108 0.184
O6 0.271 0.591 0.623
O7 0.309 0.471 0.362
O8 0.357 0.958 0.800
O9 0.415 0.852 0.550
O10 0.443 0.325 0.982
O11 0.522 0.685 0.162
O12 0.535 0.210 0.726
O13 0.581 0.042 0.347
O14 0.620 0.566 0.907
O15 0.708 0.416 0.532
O16 0.712 0.924 0.095
O17 0.786 0.290 0.289
O18 0.810 0.778 0.708
O19 0.882 0.135 0.898
O20 0.912 0.652 0.457
O21 0.966 0.017 0.640
O22 0.972 0.517 0.085

=====

No. 8
The following is a theoretical X-ray diffraction stick pattern of Li8VO6. It was derived from DFT lattice parameters and positions (PBE+U), using Cu Kα, 1.54184 Å.
Peak positions follow from Bragg's law for the DFT cell and can differ from measured ones.

Principal peaks in the range 2θ from 15° to 90°, by intensity:
19.78°, I 100
22.42°, I 75
17.67°, I 65
37.40°, I 54
19.97°, I 52
37.92°, I 49
37.99°, I 49
58.92°, I 42
22.19°, I 38
49.70°, I 35

Structure:
abc: 5.390 5.398 10.490
angles: 89.97 75.34 60.67
Fractional positions:
Li1 0.009 0.083 0.180
Li2 0.011 0.570 0.675
Li3 0.139 0.684 0.011
Li4 0.167 0.155 0.510
Li5 0.261 0.309 0.821
Li6 0.265 0.816 0.322
Li7 0.396 0.911 0.679
Li8 0.402 0.416 0.173
Li9 0.598 0.584 0.827
Li10 0.604 0.089 0.321
Li11 0.735 0.184 0.678
Li12 0.739 0.691 0.179
Li13 0.833 0.845 0.490
Li14 0.861 0.316 0.989
Li15 0.989 0.430 0.325
Li16 0.991 0.917 0.820
V1 0.500 0.000 0.000
V2 0.500 0.500 0.500
O1 0.119 0.849 0.617
O2 0.121 0.353 0.117
O3 0.268 0.967 0.881
O4 0.278 0.473 0.385
O5 0.410 0.237 0.618
O6 0.410 0.753 0.116
O7 0.590 0.247 0.884
O8 0.590 0.763 0.382
O9 0.722 0.527 0.615
O10 0.732 0.033 0.119
O11 0.879 0.647 0.883
O12 0.881 0.151 0.383